[1]
Computed X-ray powder pattern of MnNbSiOs for Cu Kα X-rays, from a PBE-relaxed structure.
Peak positions follow from Bragg's law for the DFT cell and can differ from measured ones.

Largest 8 diffraction maxima, low angle first, 2θ = 5–70°:
2θ/deg, intensity
25.52, 40
29.55, 14
42.28, 100
50.03, 20
52.42, 4
61.32, 16
67.52, 9
69.52, 5

Crystal structure
```
MnNbSiOs
1.0
0.0000 3.0233 3.0233
3.0233 0.0000 3.0233
3.0233 3.0233 0.0000
Mn Nb Si Os
1 1 1 1
direct
0.0000 0.0000 0.0000
0.2500 0.2500 0.2500
0.7500 0.7500 0.7500
0.5000 0.5000 0.5000
```

***

[2]
Computed X-ray powder pattern of RbCdGa for Cu Kα X-rays, from a PBE-relaxed structure.
Peak positions follow from Bragg's law for the DFT cell and can differ from measured ones.

Largest 10 diffraction maxima, low angle first, 2θ = 5–70°:
2θ/deg, intensity
16.08, 34
26.52, 100
27.78, 72
29.88, 16
32.50, 40
35.73, 33
38.59, 44
45.85, 37
49.05, 28
51.31, 36

Crystal structure
```
RbCdGa
1.0
-2.5132 3.9516 5.5103
2.5132 -3.9516 5.5103
2.5132 3.9516 -5.5103
Rb Cd Ga
2 2 2
direct
0.2327 0.2327 0.0000
0.7673 0.7673 0.0000
0.2004 0.5000 0.7004
0.7996 0.5000 0.2996
0.3448 0.0000 0.3448
0.6552 0.0000 0.6552
```

***

[3]
Computed X-ray powder pattern of Pm3Pr4YS8 for Cu Kα X-rays, from a PBE-relaxed structure.
Peak positions follow from Bragg's law for the DFT cell and can differ from measured ones.

Largest 10 diffraction maxima, low angle first, 2θ = 5–70°:
2θ/deg, intensity
26.78, 18
26.96, 53
31.17, 100
44.55, 36
44.79, 36
52.74, 9
52.95, 18
53.05, 9
55.57, 19
65.02, 12

Crystal structure
```
Pm3Pr4YS8
1.0
4.0473 2.3367 6.6590
-4.0473 2.3367 6.6590
0.0000 -4.6735 6.6590
Pm Pr Y S
3 4 1 8
direct
0.0000 0.5000 0.5000
0.5000 0.0000 0.5000
0.5000 0.5000 0.0000
0.0000 0.0000 0.5000
0.0000 0.5000 0.0000
0.5000 0.0000 0.0000
0.5000 0.5000 0.5000
0.0000 0.0000 0.0000
0.2434 0.2434 0.7520
0.2434 0.7520 0.2434
0.2480 0.7566 0.7566
0.2523 0.2523 0.2523
0.7477 0.7477 0.7477
0.7520 0.2434 0.2434
0.7566 0.2480 0.7566
0.7566 0.7566 0.2480
```